Starting from DFT lattice parameters and positions (GGA-PBE), the powder diffractogram of PmHo4Tl was computed for Cu Kα (λ = 1.5418 Å).
Intensities are scaled so that the largest is 100.

Main lines, low angle first (15 to 90 degrees two-theta):
- 2θ = 28.65°, I 29
- 2θ = 28.84°, I 29
- 2θ = 29.91°, I 100
- 2θ = 32.11°, I 79
- 2θ = 32.24°, I 76
- 2θ = 34.34°, I 24
- 2θ = 36.61°, I 73
- 2θ = 43.80°, I 19
- 2θ = 45.13°, I 23
- 2θ = 60.40°, I 38

Crystal structure
```
PmHo4Tl
1.0
2.777 -10.550 0.000
2.777 10.550 0.000
0.000 0.000 6.522
Pm Ho Tl
2 8 2
Direct
0.064 0.936 0.500
0.936 0.064 0.000
0.139 0.861 0.011
0.255 0.745 0.377
0.317 0.683 0.855
0.460 0.540 0.675
0.540 0.460 0.175
0.683 0.317 0.355
0.745 0.255 0.877
0.861 0.139 0.511
0.397 0.603 0.252
0.603 0.397 0.752
```